Record 1
This entry pairs a crystal structure of Y5U2Ru5 with its computed PXRD pattern. Radiation: Cu Kα. Structure: DFT lattice parameters and positions (GGA-PBE).
Neutral-atom scattering factors, no anomalous dispersion.

Lattice parameters (Å, degrees): 4.962 5.073 11.915 80.09 78.37 69.11
Space group P-1 (No. 2)
Unique sites:
Y (0.000, 0.000, 0.000)
Y (0.182, 0.195, 0.451)
Y (0.288, 0.314, 0.154)
U (0.385, 0.300, 0.712)
Ru (0.239, 0.871, 0.701)
Ru (0.329, 0.370, 0.908)
Ru (0.500, 0.500, 0.500)

Main lines, by angle (2θ = 5–70°):
two_theta	d_spacing	I/Imax	index
19.4	4.582	41	1 0 0
19.7	4.502	57	1 0 1
21.7	4.100	26	1 1 1
26.6	3.355	27	1 0 -2
31.5	2.843	100	1 -1 0
34.0	2.639	37	1 0 4
34.5	2.600	31	0 1 4
36.6	2.455	89	2 1 1
38.2	2.357	26	0 1 -4
38.8	2.321	40	0 0 5
39.2	2.297	36	1 0 -4
39.5	2.284	26	1 2 3

---

Record 2
This entry pairs a crystal structure of Sc2SBr2 with its computed PXRD pattern. Radiation: Cu Kα. Structure: DFT lattice parameters and positions (GGA-PBE).
Neutral-atom scattering factors, no anomalous dispersion.

Lattice parameters (Å, degrees): 6.522 3.765 10.628 90.00 103.22 90.00
Space group C2/m (No. 12)
Unique sites:
Sc (0.215, 0.000, 0.130)
S (0.000, 0.500, 0.000)
Br (0.055, 0.000, 0.701)

Main lines, by angle (2θ = 5–70°):
two_theta	d_spacing	I/Imax	index
8.5	10.347	48	0 0 1
17.1	5.173	40	0 0 2
27.4	3.250	20	2 0 -1
27.5	3.239	45	1 1 0
33.7	2.658	54	2 0 -3
34.3	2.612	100	1 1 2
35.7	2.512	31	1 1 -3
36.4	2.466	14	2 0 2
48.4	1.882	55	0 2 0
49.4	1.844	32	1 1 -5
50.3	1.813	14	2 0 4
60.2	1.536	19	2 2 -3

---

Record 3
This entry pairs a crystal structure of Ce3Co2Hg with its computed PXRD pattern. Radiation: Cu Kα. Structure: DFT lattice parameters and positions (GGA-PBE).
Neutral-atom scattering factors, no anomalous dispersion.

Lattice parameters (Å, degrees): 7.158 11.923 6.079 90.00 90.00 90.00
Space group Imma (No. 74)
Unique sites:
Ce (0.197, 0.000, 0.000)
Ce (0.250, 0.250, 0.250)
Co (0.000, 0.098, 0.370)
Hg (0.000, 0.250, 0.738)

Main lines, by angle (2θ = 5–70°):
two_theta	d_spacing	I/Imax	index
29.1	3.069	20	2 2 0
29.9	2.984	100	0 4 0
33.1	2.708	97	0 2 2
36.9	2.437	70	2 3 1
39.4	2.289	18	2 4 0
40.6	2.221	17	3 0 1
48.2	1.887	20	2 5 1
49.9	1.828	17	2 4 2
52.5	1.744	20	2 1 3
55.2	1.663	23	0 6 2
62.2	1.492	19	4 2 2
69.4	1.354	15	0 4 4

---

Record 4
This entry pairs a crystal structure of Cu17Ni12 with its computed PXRD pattern. Radiation: Cu Kα. Structure: DFT lattice parameters and positions (GGA-PBE).
Neutral-atom scattering factors, no anomalous dispersion.

Lattice parameters (Å, degrees): 8.774 8.774 8.774 90.00 90.00 90.00
Space group I-43m (No. 217)
Unique sites:
Cu (0.000, 0.000, 0.000)
Cu (0.045, 0.361, 0.361)
Cu (0.177, 0.177, 0.823)
Ni (0.092, 0.092, 0.280)

Main lines, by angle (2θ = 5–70°):
two_theta	d_spacing	I/Imax	index
35.4	2.533	1	2 2 2
38.4	2.345	2	3 2 1
41.2	2.194	8	4 0 0
43.8	2.068	100	4 1 1
48.7	1.871	27	3 3 2
51.0	1.791	10	4 2 2
53.2	1.721	14	4 3 1
57.5	1.602	1	5 2 1
61.6	1.505	1	4 3 3
63.6	1.462	1	4 4 2
65.6	1.423	1	5 3 2
69.4	1.354	1	5 4 1

---

Record 5
This entry pairs a crystal structure of Sm4Dy6Pu with its computed PXRD pattern. Radiation: Cu Kα. Structure: DFT lattice parameters and positions (GGA-PBE).
Neutral-atom scattering factors, no anomalous dispersion.

Lattice parameters (Å, degrees): 12.1094 12.1094 17.1363 90.00 90.00 120.00
Space group R-3c (No. 167, hexagonal axes)
Unique sites:
Sm (0.0000, 0.0000, 0.2500)
Sm (0.0000, 0.4066, 0.2500)
Dy (0.0536, 0.2300, 0.3928)
Pu (0.0000, 0.0000, 0.0000)

Main lines, by angle (2θ = 5–70°):
two_theta	d_spacing	I/Imax	index
13.3	6.635	25	0 1 2
26.9	3.318	54	0 2 4
30.7	2.909	100	2 1 4
31.2	2.868	84	1 3 1
32.5	2.754	33	3 1 2
33.5	2.675	44	2 2 3
39.4	2.288	33	4 1 0
40.7	2.218	26	3 1 5
43.1	2.098	24	0 1 8
48.6	1.873	26	1 3 7
63.6	1.463	24	4 4 3
66.1	1.414	31	7 0 4

---

Record 6
This entry pairs a crystal structure of PaPd5Au5 with its computed PXRD pattern. Radiation: Cu Kα. Structure: DFT lattice parameters and positions (GGA-PBE).
Neutral-atom scattering factors, no anomalous dispersion.

Lattice parameters (Å, degrees): 5.646 5.671 6.735 77.74 77.68 75.28
Space group P-1 (No. 2)
Unique sites:
Pa (0.000, 0.000, 0.000)
Pd (0.000, 0.500, 0.000)
Pd (0.127, 0.679, 0.336)
Pd (0.264, 0.815, 0.676)
Au (0.247, 0.163, 0.310)
Au (0.375, 0.291, 0.687)
Au (0.500, 0.500, 0.000)

Main lines, by angle (2θ = 5–70°):
two_theta	d_spacing	I/Imax	index
25.8	3.456	20	1 -1 0
27.7	3.216	20	1 1 -1
29.7	3.011	25	1 1 2
38.1	2.359	72	0 2 -1
38.3	2.349	41	2 0 -1
39.7	2.270	100	0 2 2
40.3	2.235	43	2 2 1
40.6	2.224	19	2 -1 0
41.8	2.162	52	0 0 3
53.0	1.728	14	2 -2 0
57.3	1.608	16	2 2 -2
61.6	1.505	14	2 2 4